Record 1
For Li7BiPd3, a crystal structure in Alexandria, relaxed with GGA-PBE gives the calculated XRD peak list in this record (Cu Kα).
Peak positions follow from Bragg's law for the DFT cell and can differ from measured ones.

Peak list (6 most intense, 15 to 90 degrees two-theta, by angle)
| d/Å | intensity |
| --- | --- |
| 4.120 | 100 |
| 3.126 | 94 |
| 3.114 | 94 |
| 2.428 | 30 |
| 2.135 | 38 |
| 2.124 | 38 |

Structural model:
```
Li7BiPd3
1.0
4.7652 -4.6859 0.0000
4.7652 4.6859 0.0000
-2.4403 0.0000 4.1973
Li Bi Pd
7 1 3
direct
0.0000 0.0000 0.0000 Li
0.1078 0.5402 0.3238 Li
0.3377 0.3377 0.8400 Li
0.4598 0.8922 0.6762 Li
0.5402 0.1078 0.3238 Li
0.6623 0.6623 0.1600 Li
0.8922 0.4598 0.6762 Li
0.0000 0.0000 0.5000 Bi
0.2712 0.7288 0.0000 Pd
0.5000 0.5000 0.5000 Pd
0.7288 0.2712 0.0000 Pd
```

---

Record 2
For Tb2PrDyTh, a crystal structure in Alexandria, relaxed with GGA-PBE gives the calculated XRD peak list in this record (Cu Kα).
Peak positions follow from Bragg's law for the DFT cell and can differ from measured ones.

Peak list (6 most intense, 15 to 90 degrees two-theta, by angle)
| d/Å | intensity |
| --- | --- |
| 3.114 | 52 |
| 2.989 | 76 |
| 2.704 | 100 |
| 2.507 | 66 |
| 2.325 | 50 |
| 2.005 | 75 |

Structural model:
```
Tb2PrDyTh
1.0
4.2935 -5.9774 0.0000
4.2935 5.9774 0.0000
0.0000 0.0000 6.9615
Tb Pr Dy Th
4 2 2 2
direct
0.1832 0.1832 0.0000 Tb
0.1832 0.1832 0.5000 Tb
0.8168 0.8168 0.0000 Tb
0.8168 0.8168 0.5000 Tb
0.2337 0.7663 0.7500 Pr
0.7663 0.2337 0.2500 Pr
0.2241 0.7759 0.2500 Dy
0.7759 0.2241 0.7500 Dy
0.4974 0.5026 0.2500 Th
0.5026 0.4974 0.7500 Th
```

---

Record 3
For Li2Sm2Pd3, a crystal structure in Alexandria, relaxed with GGA-PBE gives the calculated XRD peak list in this record (Cu Kα).
Peak positions follow from Bragg's law for the DFT cell and can differ from measured ones.

Peak list (6 most intense, 15 to 90 degrees two-theta, by angle)
| d/Å | intensity |
| --- | --- |
| 2.995 | 56 |
| 2.463 | 100 |
| 2.324 | 27 |
| 2.238 | 53 |
| 2.015 | 21 |
| 1.374 | 22 |

Structural model:
```
Li2Sm2Pd3
1.0
4.2699 -2.4614 0.0000
4.2699 2.4614 0.0000
-2.8590 0.0000 7.0082
Li Sm Pd
2 2 3
direct
0.1317 0.1317 0.3958 Li
0.8683 0.8683 0.6042 Li
0.3911 0.3911 0.1742 Sm
0.6089 0.6089 0.8258 Sm
0.0000 0.0000 0.0000 Pd
0.2539 0.2539 0.7616 Pd
0.7461 0.7461 0.2384 Pd
```

---

Record 4
For Pr3Nd2Sm7, a crystal structure in Alexandria, relaxed with GGA-PBE gives the calculated XRD peak list in this record (Cu Kα).
Peak positions follow from Bragg's law for the DFT cell and can differ from measured ones.

Peak list (6 most intense, 15 to 90 degrees two-theta, by angle)
| d/Å | intensity |
| --- | --- |
| 3.072 | 28 |
| 2.978 | 100 |
| 2.920 | 55 |
| 2.719 | 36 |
| 2.639 | 42 |
| 1.541 | 28 |

Structural model:
```
Pr3Nd2Sm7
1.0
6.5007 0.0000 0.0000
0.0000 3.6031 0.0000
-1.9516 0.0000 17.8662
Pr Nd Sm
3 2 7
direct
0.0000 0.0000 0.0000 Pr
0.0484 0.5000 0.6609 Pr
0.9516 0.5000 0.3391 Pr
0.4436 0.0000 0.3287 Nd
0.5564 0.0000 0.6713 Nd
0.2280 0.5000 0.1653 Sm
0.2443 0.0000 0.5004 Sm
0.2752 0.0000 0.8338 Sm
0.5000 0.5000 0.0000 Sm
0.7248 0.0000 0.1662 Sm
0.7557 0.0000 0.4996 Sm
0.7720 0.5000 0.8347 Sm
```

---

Record 5
For Tl2GaBr6, a crystal structure in Alexandria, relaxed with GGA-PBE gives the calculated XRD peak list in this record (Cu Kα).
Peak positions follow from Bragg's law for the DFT cell and can differ from measured ones.

Peak list (6 most intense, 15 to 90 degrees two-theta, by angle)
| d/Å | intensity |
| --- | --- |
| 3.076 | 100 |
| 3.004 | 56 |
| 2.639 | 68 |
| 2.588 | 68 |
| 2.563 | 64 |
| 2.345 | 69 |

Structural model:
```
Tl2GaBr6
1.0
7.2948 0.0000 0.0000
0.0000 7.6484 0.0000
-7.1268 0.0000 10.3512
Tl Ga Br
4 2 12
direct
0.2190 0.0783 0.2469 Tl
0.2190 0.4217 0.7469 Tl
0.7810 0.5783 0.2531 Tl
0.7810 0.9217 0.7531 Tl
0.5000 0.0000 0.0000 Ga
0.5000 0.5000 0.5000 Ga
0.1696 0.1853 0.9584 Br
0.1696 0.3147 0.4584 Br
0.2791 0.7175 0.9578 Br
0.2791 0.7825 0.4578 Br
0.3515 0.0168 0.7603 Br
0.3515 0.4832 0.2603 Br
0.6485 0.5168 0.7397 Br
0.6485 0.9832 0.2397 Br
0.7209 0.2175 0.5422 Br
0.7209 0.2825 0.0422 Br
0.8304 0.6853 0.5416 Br
0.8304 0.8147 0.0416 Br
```